The following is a computed PXRD pattern of FeB6O6. It was derived from a structure optimized by DFT (PBE+U), using Cu Kα, 1.54184 Å.

Largest 8 diffraction maxima, low angle first, 2θ from 5° to 70°:
Position (°2θ), I (rel.)
14.3, 100
20.7, 20
21.6, 14
26.2, 14
29.0, 12
29.2, 55
41.6, 13
41.9, 29

Atomic structure:
```
FeB6O6
1.0
4.1054 -2.7681 0.0000
4.1054 2.7681 0.0000
-4.0078 0.0000 6.1897
Fe B O
1 6 6
Cartesian
0.0000 0.0000 0.0000 Fe
1.7865 0.9265 0.6684 B
-0.0234 0.0000 4.6747 B
1.7865 -0.9265 0.6684 B
2.4165 0.9265 5.5213 B
4.2264 0.0000 1.5150 B
2.4165 -0.9265 5.5213 B
-0.6256 1.2242 4.6589 O
2.7834 0.0000 1.4208 O
4.8286 1.2242 1.5308 O
-0.6256 -1.2242 4.6589 O
1.4196 0.0000 4.7690 O
4.8286 -1.2242 1.5308 O
```